1.
For InCuO3, the PBE geometry in the Materials Project gives the theoretical powder diffractogram in this record (Cu Ka).
Intensities are scaled so that the largest is 100.

Main lines, in order of falling intensity (10° ≤ 2θ ≤ 90°):
2θ 33.5, I 100
2θ 59.8, I 36
2θ 48.0, I 33
2θ 70.3, I 19
2θ 80.1, I 15
2θ 41.3, I 12
2θ 89.7, I 6
2θ 23.5, I 4
2θ 84.9, I 3
2θ 54.1, I 2

Crystal structure
```
InCuO3
1.0
3.7873 0.0000 0.0000
0.0000 3.7873 0.0000
0.0000 0.0000 3.7873
In Cu O
1 1 3
Cartesian
0.0000 0.0000 0.0000
1.8937 1.8937 1.8937
0.0000 1.8937 1.8937
1.8937 0.0000 1.8937
1.8937 1.8937 0.0000
```



2.
For Ba3GaSb3, the PBE geometry in the Materials Project gives the theoretical powder diffractogram in this record (Cu Ka).
Intensities are scaled so that the largest is 100.

Main lines, in order of falling intensity (10° ≤ 2θ ≤ 90°):
2θ 24.9, I 100
2θ 35.3, I 88
2θ 35.5, I 54
2θ 24.6, I 36
2θ 43.7, I 28
2θ 63.6, I 23
2θ 57.7, I 15
2θ 51.1, I 10
2θ 26.7, I 9
2θ 28.3, I 9

Crystal structure
```
Ba3GaSb3
1.0
14.2919 0.0000 0.0000
0.0000 21.4560 0.0000
0.0000 0.0000 7.2418
Ba Ga Sb
24 8 24
Cartesian
0.1273 1.6401 1.6674
0.1273 9.0879 1.6674
0.2261 5.3640 5.9607
3.3617 5.3640 2.1726
3.4022 1.6384 5.0389
3.4022 9.0896 5.0389
3.7438 12.3664 1.4180
3.7438 19.8176 1.4180
3.7842 16.0920 5.7935
6.9198 16.0920 2.3398
7.0187 12.3681 5.2883
7.0187 19.8159 5.2883
7.2732 1.6401 1.9535
7.2732 9.0879 1.9535
7.3721 5.3640 4.9020
10.5077 5.3640 1.4483
10.5481 1.6384 5.8239
10.5481 9.0896 5.8239
10.8897 12.3664 2.2029
10.8897 19.8176 2.2029
10.9302 16.0920 5.0692
14.0658 16.0920 1.2811
14.1646 12.3681 5.5744
14.1646 19.8159 5.5744
1.8093 14.2313 3.5093
1.8093 17.9527 3.5093
5.3367 3.5033 7.1302
5.3367 7.2247 7.1302
8.9552 14.2313 0.1116
8.9552 17.9527 0.1116
12.4826 3.5033 3.7325
12.4826 7.2247 3.7325
0.1716 12.6492 1.9442
0.1716 19.5348 1.9442
0.2664 16.0920 4.9254
3.3250 16.0920 2.1067
3.4575 12.6514 5.0654
3.4575 19.5326 5.0654
3.6884 1.9234 1.4445
3.6884 8.8046 1.4445
3.8210 5.3640 5.7276
6.8795 5.3640 1.3045
6.9743 1.9212 5.5651
6.9743 8.8068 5.5651
7.3176 12.6492 1.6767
7.3176 19.5348 1.6767
7.4124 16.0920 5.9374
10.4709 16.0920 1.5142
10.6035 12.6514 5.7973
10.6035 19.5326 5.7973
10.8344 1.9234 2.1764
10.8344 8.8046 2.1764
10.9669 5.3640 5.1351
14.0255 5.3640 2.3165
14.1202 1.9212 5.2976
14.1202 8.8068 5.2976
```



3.
For GdIO, the PBE geometry in the Materials Project gives the theoretical powder diffractogram in this record (Cu Ka).
Intensities are scaled so that the largest is 100.

Main lines, in order of falling intensity (10° ≤ 2θ ≤ 90°):
2θ 25.7, I 100
2θ 33.9, I 99
2θ 26.5, I 78
2θ 30.7, I 68
2θ 31.0, I 59
2θ 35.0, I 57
2θ 41.6, I 47
2θ 64.0, I 46
2θ 45.4, I 45
2θ 41.2, I 31

Crystal structure
```
GdIO
1.0
0.0000 5.7681 6.1144
4.0382 0.0000 6.1144
4.0382 5.7681 0.0000
Gd I O
4 4 4
Cartesian
3.0286 0.2707 4.5858
5.0477 3.1548 7.6430
3.0286 8.3814 4.5858
5.0477 11.2654 7.6430
4.0382 2.8840 3.0572
2.0191 5.7681 3.0572
2.0191 2.8840 6.1144
4.0382 5.7681 6.1144
1.0095 1.4420 0.1156
1.0095 1.4420 2.9416
7.0668 10.0941 9.2872
7.0668 10.0941 12.1132
```



4.
For Ba2SrIrO6, the PBE geometry in the Materials Project gives the theoretical powder diffractogram in this record (Cu Ka).
Intensities are scaled so that the largest is 100.

Main lines, in order of falling intensity (10° ≤ 2θ ≤ 90°):
2θ 29.1, I 100
2θ 51.6, I 40
2θ 41.7, I 29
2θ 83.4, I 22
2θ 68.4, I 19
2θ 60.4, I 18
2θ 17.7, I 11
2θ 76.0, I 6
2θ 34.3, I 5
2θ 55.0, I 2

Crystal structure
```
Ba2SrIrO6
1.0
0.0000 4.3367 4.3367
4.3367 0.0000 4.3367
4.3367 4.3367 0.0000
Ba Sr Ir O
2 1 1 6
Cartesian
2.1684 2.1684 2.1684
6.5051 6.5051 6.5051
0.0000 0.0000 0.0000
4.3367 4.3367 4.3367
4.3367 4.3367 2.3871
4.3367 2.3871 4.3367
6.2863 4.3367 4.3367
2.3871 4.3367 4.3367
4.3367 6.2863 4.3367
4.3367 4.3367 6.2863
```